Starting from a GGA-PBE-relaxed structure, the X-ray powder pattern of Li2La3Zn3 was simulated for copper Kα.

Top 10 peaks for 2θ from 10° to 90°, low angle first:
2θ 17.36, rel. 13, (0 0 4)
2θ 30.78, rel. 16, (1 1 2)
2θ 33.55, rel. 27, (0 2 0)
2θ 34.41, rel. 100, (1 1 4)
2θ 35.15, rel. 23, (0 0 8)
2θ 49.38, rel. 17, (0 2 8)
2θ 60.55, rel. 19, (1 3 4)
2θ 61.17, rel. 9, (2 2 0)
2θ 62.59, rel. 15, (1 1 12)
2θ 72.55, rel. 10, (2 2 8)

Atomic structure:
```
data_Li2La3Zn3
_space_group_name_H-M_alt 'I m m m'
_space_group_IT_number 71
_space_group_name_Hall '-I 2 2'
_cell_length_a 3.6799
_cell_length_b 5.3415
_cell_length_c 20.4275
_cell_angle_alpha 90.00
_cell_angle_beta 90.00
_cell_angle_gamma 90.00
loop_
_atom_site_label
_atom_site_type_symbol
_atom_site_fract_x
_atom_site_fract_y
_atom_site_fract_z
Li1 Li 0.0000 0.0000 0.2322
La1 La 0.0000 0.0000 0.0000
La2 La 0.0000 0.5000 0.1262
Zn1 Zn 0.0000 0.0000 0.5000
Zn2 Zn 0.0000 0.5000 0.3666
```